Computed PXRD pattern
Compound: TlIn2MoF8
Radiation: CuKα
Structure: a cell relaxed with GGA+U
Kinematic intensities with the Lorentz-polarization factor, no thermal factor.

Cell: 5.6138 5.9483 6.5310 Å, 89.42 89.37 82.61°
Fractional positions:
Tl  0.0000  0.0000  0.0000
In  0.4577  0.4576  0.2831
In  0.5423  0.5424  0.7169
Mo  0.0000  0.0000  0.5000
F  0.1302  0.7246  0.3084
F  0.1867  0.2229  0.3333
F  0.2983  0.8818  0.6853
F  0.3587  0.3643  0.9664
F  0.6413  0.6357  0.0336
F  0.7017  0.1182  0.3147
F  0.8133  0.7771  0.6667
F  0.8698  0.2754  0.6916

Principal peaks in the range 10 to 90 degrees two-theta, in order of rising 2θ:
(1 1 0), 2θ = 20.48°, d 4.336, intensity 100.0
(1 -1 0), 2θ = 23.34°, d 3.811, intensity 86.3
(0 2 0), 2θ = 30.31°, d 2.949, intensity 26.7
(0 1 2), 2θ = 31.19°, d 2.867, intensity 38.8
(0 1 -2), 2θ = 31.43°, d 2.846, intensity 21.5
(1 0 2), 2θ = 31.63°, d 2.829, intensity 37.0
(1 0 -2), 2θ = 31.91°, d 2.805, intensity 21.1
(2 0 0), 2θ = 32.16°, d 2.783, intensity 23.6
(-1 2 2), 2θ = 45.91°, d 1.977, intensity 17.4
(2 -2 0), 2θ = 47.73°, d 1.906, intensity 17.1